1.
# BaYAg
Theoretical PXRD pattern, CuKα. Input: a structure optimized by DFT (GGA-PBE).
Kinematic intensities with the Lorentz-polarization factor, no thermal factor.

```
3
Lattice="0.000 3.722 3.722 3.722 0.000 3.722 3.722 3.722 0.000" Properties=species:S:1:pos:R:3 pbc="T T T"
Ba 0.000 0.000 0.000
Y 5.582 5.582 5.582
Ag 3.722 3.722 3.722
```

Main lines, by angle (10° ≤ 2θ ≤ 80°):
d_spacing  intensity
4.297  19
3.722  26
2.632  100
2.244  10
2.149  8
1.861  17
1.664  10
1.519  36
1.316  11
1.241  5



2.
# Ba3ZnAg4
Theoretical PXRD pattern, CuKα. Input: a structure optimized by DFT (GGA-PBE).
Kinematic intensities with the Lorentz-polarization factor, no thermal factor.

```
8
Lattice="6.510 0.000 0.000 0.000 4.853 0.000 -1.240 0.000 7.985" Properties=species:S:1:pos:R:3 pbc="T T T"
Ba 0.000 0.000 0.000
Ba 0.329 0.000 3.763
Ba 3.484 2.427 4.840
Zn 2.472 2.427 1.030
Ag 0.414 2.427 6.321
Ag 1.933 0.000 6.994
Ag 3.445 0.000 1.991
Ag 5.062 2.427 1.910
```

Main lines, by angle (10° ≤ 2θ ≤ 80°):
d_spacing  intensity
3.366  38
3.181  37
3.083  80
2.919  73
2.681  62
2.661  77
2.646  100
2.605  57
2.427  84
1.845  61



3.
# Be4Ag
Theoretical PXRD pattern, CuKα. Input: a structure optimized by DFT (GGA-PBE).
Kinematic intensities with the Lorentz-polarization factor, no thermal factor.

```
10
Lattice="3.169 0.000 0.000 0.000 3.169 0.000 0.000 0.000 10.411" Properties=species:S:1:pos:R:3 pbc="T T T"
Be 0.792 0.792 0.012
Be 0.792 2.377 1.478
Be 0.792 2.377 5.206
Be 0.792 2.377 8.933
Be 2.377 0.792 1.478
Be 2.377 0.792 5.206
Be 2.377 0.792 8.933
Be 2.377 2.377 10.400
Ag 0.792 0.792 7.026
Ag 2.377 2.377 3.385
```

Main lines, by angle (10° ≤ 2θ ≤ 80°):
d_spacing  intensity
5.206  27
3.470  35
3.032  100
2.707  61
2.241  21
2.011  34
1.883  43
1.404  18
1.367  13
1.245  13



4.
# BeCuAg3
Theoretical PXRD pattern, CuKα. Input: a structure optimized by DFT (GGA-PBE).
Kinematic intensities with the Lorentz-polarization factor, no thermal factor.

```
5
Lattice="4.381 0.000 0.000 0.000 4.381 0.000 0.000 0.000 4.381" Properties=species:S:1:pos:R:3 pbc="T T T"
Be 0.000 0.000 0.000
Cu 2.190 2.190 2.190
Ag 0.000 0.000 2.190
Ag 0.000 2.190 0.000
Ag 2.190 0.000 0.000
```

Main lines, by angle (10° ≤ 2θ ≤ 80°):
d_spacing  intensity
4.381  5
3.098  2
2.529  100
2.190  52
1.959  2
1.788  1
1.549  33
1.460  1
1.321  35
1.265  11